Simulated XRD peak list of Nd2Cd2Ag for Cu Kα, from a DFT-relaxed cell (GGA-PBE, Alexandria).

Structural model:
```
Nd2Cd2Ag
1.0
3.912 0.000 0.000
0.000 6.931 0.000
0.000 0.000 10.018
Nd Cd Ag
4 4 2
Direct
0.000 0.000 0.231
0.000 0.000 0.769
0.500 0.500 0.269
0.500 0.500 0.731
0.000 0.293 0.500
0.000 0.707 0.500
0.500 0.207 0.000
0.500 0.793 0.000
0.000 0.500 0.000
0.500 0.000 0.500
```

Largest 10 diffraction maxima, sorted by position, 2θ = 10–80°:
index	Position (°2θ)	I/Imax
0 2 2	31.39	33
1 1 2	31.76	100
1 2 1	35.75	41
0 0 4	35.85	31
2 0 0	46.42	17
2 2 2	57.11	12
1 2 5	58.18	18
2 0 4	60.01	14
1 1 6	61.89	11
1 5 2	75.15	15